The following is a calculated X-ray diffraction stick pattern of Mg2Sc2Br. It was derived from a crystal structure in Alexandria, relaxed with GGA-PBE, using Cu Kα.

Peak list (10 most intense, 5° ≤ 2θ ≤ 70°, in order of rising 2θ)
| 2θ/deg | Rel. int. | (hkl) |
| --- | --- | --- |
| 17.39 | 82 | 0 0 1 |
| 25.02 | 48 | 1 1 1 |
| 30.90 | 20 | 2 0 1 |
| 33.49 | 100 | 2 1 1 |
| 35.19 | 46 | 0 0 2 |
| 36.15 | 16 | 2 2 0 |
| 40.38 | 20 | 2 2 1 |
| 40.60 | 63 | 3 1 0 |
| 44.47 | 39 | 3 1 1 |
| 54.79 | 50 | 3 1 2 |

Structure:
a = 7.0273 Å, b = 7.0273 Å, c = 5.1004 Å
α = 90.00°, β = 90.00°, γ = 90.00°
Sites, in units of the cell vectors:
Mg 0.1449 0.3551 0.0000
Mg 0.3551 0.8551 0.0000
Mg 0.6449 0.1449 0.0000
Mg 0.8551 0.6449 0.0000
Sc 0.1545 0.6545 0.5000
Sc 0.3455 0.1545 0.5000
Sc 0.6545 0.8455 0.5000
Sc 0.8455 0.3455 0.5000
Br 0.0000 0.0000 0.5000
Br 0.5000 0.5000 0.5000